[1]
Diffraction record for W7O6F30. The X-ray powder pattern is simulated, not measured: it uses a crystal structure in the Materials Project, relaxed with PBE+U and λ = 1.5418 Å (Cu Kα).
Peak positions follow from Bragg's law for the DFT cell and can differ from measured ones.

Structure:
abc: 9.279 9.491 9.532
angles: 115.51 100.21 99.91
Space group P-1 (No. 2)
Asymmetric unit:
W1 0.000 0.000 0.000 x1
W2 0.228 0.758 0.759 x2
W3 0.245 0.076 0.395 x2
W4 0.248 0.397 0.084 x2
O1 0.080 0.214 0.023 x2
O2 0.118 0.912 0.851 x2
O3 0.169 0.047 0.181 x2
F1 0.048 0.589 0.686 x2
F2 0.060 0.923 0.352 x2
F3 0.130 0.544 0.139 x2
F4 0.153 0.246 0.474 x2
F5 0.181 0.758 0.559 x2
F6 0.203 0.371 0.872 x2
F7 0.276 0.756 0.959 x2
F8 0.294 0.427 0.297 x2
F9 0.301 0.099 0.604 x2
F10 0.334 0.601 0.682 x2
F11 0.338 0.907 0.320 x2
F12 0.369 0.250 0.029 x2
F13 0.408 0.925 0.829 x2
F14 0.425 0.566 0.147 x2
F15 0.429 0.226 0.437 x2

Top 10 peaks for 2θ = 10–90°, sorted by position:
| (hkl) | 2θ (°) | I/Imax |
| --- | --- | --- |
| 0 1 0 | 10.7 | 18 |
| 0 1 1 | 18.5 | 46 |
| 1 1 -2 | 20.0 | 73 |
| 2 0 0 | 20.3 | 35 |
| -2 1 1 | 22.6 | 51 |
| 1 -1 2 | 22.9 | 100 |
| 1 0 -3 | 31.2 | 17 |
| 1 -3 0 | 31.3 | 17 |
| 2 1 1 | 31.9 | 16 |
| 0 3 -3 | 33.5 | 17 |

---

[2]
Diffraction record for LiLa4Ni3WO12. The X-ray powder pattern is simulated, not measured: it uses a crystal structure in the Materials Project, relaxed with PBE+U and λ = 1.5418 Å (Cu Kα).
Peak positions follow from Bragg's law for the DFT cell and can differ from measured ones.

Structure:
abc: 5.472 8.697 5.568
angles: 90.00 90.17 90.00
Space group P2/m (No. 10)
Asymmetric unit:
Li1 0.000 0.000 0.000 x1
La1 0.000 0.283 0.000 x2
La2 0.500 0.204 0.500 x2
Ni1 0.000 0.000 0.500 x1
Ni2 0.500 0.000 0.000 x1
Ni3 0.500 0.500 0.000 x1
W1 0.000 0.500 0.500 x1
O1 0.000 0.263 0.500 x2
O2 0.176 0.500 0.178 x2
O3 0.220 0.000 0.776 x2
O4 0.293 0.000 0.296 x2
O5 0.299 0.500 0.679 x2
O6 0.500 0.259 0.000 x2

Top 10 peaks for 2θ = 10–90°, sorted by position:
| (hkl) | 2θ (°) | I/Imax |
| --- | --- | --- |
| 1 1 0 | 19.2 | 17 |
| 1 2 -1 | 30.8 | 100 |
| 0 0 2 | 32.2 | 30 |
| 2 0 0 | 32.7 | 28 |
| 0 3 1 | 34.9 | 14 |
| 0 4 0 | 41.5 | 14 |
| 2 0 -2 | 46.5 | 15 |
| 2 0 2 | 46.6 | 15 |
| 1 2 3 | 56.5 | 20 |
| 3 2 1 | 57.2 | 19 |

---

[3]
Diffraction record for Li9Mn2Co5O16. The X-ray powder pattern is simulated, not measured: it uses a crystal structure in the Materials Project, relaxed with PBE+U and λ = 1.5418 Å (Cu Kα).
Peak positions follow from Bragg's law for the DFT cell and can differ from measured ones.

Structure:
abc: 19.741 5.900 5.032
angles: 90.00 99.84 90.00
Space group Cm (No. 8)
Asymmetric unit:
Li1 0.000 0.000 0.000 x2
Li2 0.001 0.244 0.491 x4
Li3 0.003 0.500 0.993 x2
Li4 0.259 0.000 0.503 x2
Li5 0.260 0.260 0.002 x4
Li6 0.263 0.500 0.485 x2
Li7 0.381 0.500 0.247 x2
Mn1 0.130 0.000 0.747 x2
Mn2 0.381 0.000 0.247 x2
Co1 0.131 0.255 0.249 x4
Co2 0.133 0.500 0.746 x2
Co3 0.381 0.259 0.747 x4
O1 0.074 0.000 0.388 x2
O2 0.074 0.500 0.356 x2
O3 0.075 0.241 0.865 x4
O4 0.184 0.000 0.110 x2
O5 0.187 0.235 0.626 x4
O6 0.190 0.500 0.127 x2
O7 0.321 0.500 0.850 x2
O8 0.325 0.000 0.892 x2
O9 0.325 0.231 0.383 x4
O10 0.437 0.233 0.109 x4
O11 0.438 0.000 0.600 x2
O12 0.439 0.500 0.639 x2

Top 10 peaks for 2θ = 10–90°, sorted by position:
| (hkl) | 2θ (°) | I/Imax |
| --- | --- | --- |
| 4 0 0 | 18.2 | 100 |
| 2 2 -1 | 35.8 | 27 |
| 0 0 2 | 36.2 | 13 |
| 6 2 -1 | 43.3 | 55 |
| 4 0 2 | 43.7 | 27 |
| 6 2 1 | 47.4 | 9 |
| 10 2 -1 | 57.1 | 10 |
| 10 2 1 | 62.7 | 15 |
| 2 2 -3 | 63.8 | 15 |
| 6 2 -3 | 67.0 | 9 |

---

[4]
Diffraction record for LiFe4P3O12. The X-ray powder pattern is simulated, not measured: it uses a crystal structure in the Materials Project, relaxed with PBE+U and λ = 1.5418 Å (Cu Kα).
Peak positions follow from Bragg's law for the DFT cell and can differ from measured ones.

Structure:
abc: 6.094 9.544 9.560
angles: 60.11 89.60 89.40
Space group P1 (No. 1)
Asymmetric unit:
Li1 0.000 0.000 0.000 x1
Li2 0.499 0.663 0.670 x1
Fe1 0.218 0.370 0.033 x1
Fe2 0.220 0.029 0.605 x1
Fe3 0.223 0.600 0.370 x1
Fe4 0.467 0.003 0.004 x1
Fe5 0.719 0.635 0.070 x1
Fe6 0.721 0.066 0.300 x1
Fe7 0.721 0.299 0.639 x1
Fe8 0.966 0.669 0.667 x1
P1 0.219 0.350 0.705 x1
P2 0.220 0.702 0.951 x1
P3 0.224 0.945 0.355 x1
P4 0.720 0.717 0.321 x1
P5 0.721 0.963 0.724 x1
P6 0.722 0.315 0.967 x1
O1 0.023 0.016 0.402 x1
O2 0.024 0.397 0.584 x1
O3 0.026 0.579 0.028 x1
O4 0.203 0.465 0.780 x1
O5 0.204 0.778 0.762 x1
O6 0.217 0.756 0.467 x1
O7 0.224 0.173 0.838 x1
O8 0.226 0.833 0.997 x1
O9 0.230 0.992 0.177 x1
O10 0.421 0.011 0.408 x1
O11 0.421 0.403 0.589 x1
O12 0.423 0.585 0.012 x1
O13 0.522 0.083 0.650 x1
O14 0.522 0.267 0.085 x1
O15 0.529 0.639 0.275 x1
O16 0.702 0.906 0.208 x1
O17 0.706 0.888 0.913 x1
O18 0.715 0.201 0.891 x1
O19 0.723 0.671 0.498 x1
O20 0.727 0.491 0.837 x1
O21 0.730 0.831 0.679 x1
O22 0.920 0.081 0.660 x1
O23 0.920 0.260 0.087 x1
O24 0.925 0.657 0.266 x1

Top 10 peaks for 2θ = 10–90°, sorted by position:
| (hkl) | 2θ (°) | I/Imax |
| --- | --- | --- |
| 0 1 1 | 10.7 | 48 |
| 1 0 1 | 18.0 | 41 |
| 0 2 1 | 18.6 | 82 |
| 2 0 0 | 29.3 | 55 |
| 1 1 -2 | 32.1 | 80 |
| -1 2 3 | 32.2 | 31 |
| 0 0 3 | 32.4 | 72 |
| 0 3 3 | 32.5 | 100 |
| 2 2 1 | 34.8 | 39 |
| 1 6 2 | 61.1 | 29 |

---

[5]
Diffraction record for MgMn4Zn2O8. The X-ray powder pattern is simulated, not measured: it uses a crystal structure in the Materials Project, relaxed with PBE+U and λ = 1.5418 Å (Cu Kα).
Peak positions follow from Bragg's law for the DFT cell and can differ from measured ones.

Structure:
abc: 6.201 6.253 6.312
angles: 61.58 60.67 88.87
Space group P1 (No. 1)
Asymmetric unit:
Mg1 0.000 0.000 0.000 x1
Mn1 0.341 0.545 0.894 x1
Mn2 0.812 0.015 0.506 x1
Mn3 0.841 0.527 0.923 x1
Mn4 0.841 0.529 0.422 x1
Zn1 0.340 0.428 0.425 x1
Zn2 0.454 0.949 0.166 x1
O1 0.069 0.753 0.896 x1
O2 0.078 0.322 0.382 x1
O3 0.080 0.826 0.329 x1
O4 0.116 0.358 0.827 x1
O5 0.587 0.737 0.956 x1
O6 0.621 0.322 0.901 x1
O7 0.639 0.311 0.402 x1
O8 0.640 0.798 0.381 x1

Top 10 peaks for 2θ = 10–90°, sorted by position:
| (hkl) | 2θ (°) | I/Imax |
| --- | --- | --- |
| 0 1 0 | 16.8 | 52 |
| 2 0 1 | 28.8 | 34 |
| 0 1 2 | 32.7 | 75 |
| 2 1 2 | 33.7 | 62 |
| 0 2 0 | 33.9 | 100 |
| 0 0 2 | 38.7 | 51 |
| 2 2 2 | 40.6 | 33 |
| 2 -2 0 | 41.4 | 40 |
| -2 2 2 | 58.6 | 35 |
| 4 0 2 | 59.7 | 29 |

---

[6]
Diffraction record for La4ZnCu2MoO12. The X-ray powder pattern is simulated, not measured: it uses a crystal structure in the Materials Project, relaxed with PBE+U and λ = 1.5418 Å (Cu Kα).
Peak positions follow from Bragg's law for the DFT cell and can differ from measured ones.

Structure:
abc: 7.997 8.031 11.687
angles: 100.03 99.90 119.69
Space group P-1 (No. 2)
Asymmetric unit:
La1 0.000 0.000 0.000 x1
La2 0.000 0.500 0.000 x1
La3 0.238 0.238 0.498 x2
La4 0.245 0.749 0.494 x2
La5 0.500 0.000 0.000 x1
La6 0.500 0.500 0.000 x1
Zn1 0.028 0.241 0.753 x2
Cu1 0.022 0.672 0.750 x2
Cu2 0.420 0.771 0.251 x2
Mo1 0.463 0.294 0.254 x2
O1 0.036 0.370 0.417 x2
O2 0.037 0.875 0.414 x2
O3 0.127 0.290 0.919 x2
O4 0.128 0.795 0.916 x2
O5 0.136 0.610 0.251 x2
O6 0.195 0.156 0.253 x2
O7 0.370 0.205 0.076 x2
O8 0.378 0.710 0.084 x2
O9 0.395 0.442 0.749 x2
O10 0.409 0.841 0.748 x2
O11 0.452 0.121 0.582 x2
O12 0.452 0.617 0.571 x2

Top 10 peaks for 2θ = 10–90°, sorted by position:
| (hkl) | 2θ (°) | I/Imax |
| --- | --- | --- |
| 2 0 -1 | 25.7 | 33 |
| 2 -2 1 | 27.0 | 40 |
| 2 0 -3 | 30.4 | 100 |
| 2 -2 2 | 30.5 | 53 |
| 0 0 4 | 32.6 | 44 |
| 0 2 -5 | 41.9 | 28 |
| 2 2 -2 | 45.0 | 24 |
| -4 2 1 | 45.4 | 23 |
| 2 -4 5 | 56.9 | 38 |
| 4 -2 3 | 57.0 | 27 |